Structure and calculated PXRD pattern of In2Au7 (a cell relaxed with GGA-PBE; CuKα).

Cell and atoms:
Cell lengths 3.0107, 3.0107, 34.0739 Å; angles 90.00, 90.00, 120.00 degrees
Atoms (fractional coordinates):
In  0.3333  0.6667  0.2194
In  0.6667  0.3333  0.7806
Au  0.0000  0.0000  0.2943
Au  0.0000  0.0000  0.5000
Au  0.0000  0.0000  0.7057
Au  0.3333  0.6667  0.4322
Au  0.3333  0.6667  0.6358
Au  0.6667  0.3333  0.3642
Au  0.6667  0.3333  0.5678

Most intense lines, 2θ from 10° to 80°, in order of falling intensity:
2θ = 36.92°, 2.435 Å, rel. 100
2θ = 43.72°, 2.071 Å, rel. 44
2θ = 36.02°, 2.493 Å, rel. 39
2θ = 42.08°, 2.147 Å, rel. 34
2θ = 61.64°, 1.505 Å, rel. 30
2θ = 74.04°, 1.280 Å, rel. 27
2θ = 39.68°, 2.272 Å, rel. 16
2θ = 75.81°, 1.255 Å, rel. 15
2θ = 62.90°, 1.478 Å, rel. 15
2θ = 37.97°, 2.370 Å, rel. 14

Structure and calculated PXRD pattern of AlInMoH6 (a cell relaxed with GGA-PBE; CuKα).

Cell and atoms:
Cell lengths 4.7474, 4.7474, 4.7474 Å; angles 60.00, 60.00, 60.00 degrees
Atoms (fractional coordinates):
Al  0.0000  0.0000  0.0000
In  0.5000  0.5000  0.5000
Mo  0.2500  0.2500  0.2500
H  0.5142  0.5142  0.9858
H  0.5142  0.9858  0.5142
H  0.5142  0.9858  0.9858
H  0.9858  0.5142  0.5142
H  0.9858  0.5142  0.9858
H  0.9858  0.9858  0.5142

Most intense lines, 2θ from 10° to 80°, in order of falling intensity:
2θ = 37.90°, 2.374 Å, rel. 100
2θ = 22.94°, 3.876 Å, rel. 75
2θ = 44.77°, 2.024 Å, rel. 38
2θ = 68.46°, 1.370 Å, rel. 34
2θ = 54.68°, 1.678 Å, rel. 18
2θ = 60.07°, 1.540 Å, rel. 15
2θ = 73.26°, 1.292 Å, rel. 11
2θ = 26.55°, 3.357 Å, rel. 4
2θ = 46.88°, 1.938 Å, rel. 2
2θ = 61.80°, 1.501 Å, rel. 2

Structure and calculated PXRD pattern of CdHgTeO (a cell relaxed with GGA-PBE; CuKα).

Cell and atoms:
Cell lengths 6.9353, 7.8794, 7.9213 Å; angles 90.00, 90.00, 90.00 degrees
Atoms (fractional coordinates):
Cd  0.2002  0.1780  0.4525
Cd  0.2998  0.8220  0.9525
Cd  0.7002  0.3220  0.5475
Cd  0.7998  0.6780  0.0475
Hg  0.1467  0.3856  0.9761
Hg  0.3533  0.6144  0.4761
Hg  0.6467  0.1144  0.0239
Hg  0.8533  0.8856  0.5239
Te  0.0667  0.0840  0.1152
Te  0.4333  0.9160  0.6152
Te  0.5667  0.4160  0.8848
Te  0.9333  0.5840  0.3848
O  0.0713  0.6405  0.9129
O  0.4287  0.3595  0.4129
O  0.5713  0.8595  0.0871
O  0.9287  0.1405  0.5871

Most intense lines, 2θ from 10° to 80°, in order of falling intensity:
2θ = 28.10°, 3.175 Å, rel. 100
2θ = 28.38°, 3.145 Å, rel. 98
2θ = 22.45°, 3.961 Å, rel. 90
2θ = 43.24°, 2.092 Å, rel. 52
2θ = 36.28°, 2.476 Å, rel. 52
2θ = 25.20°, 3.534 Å, rel. 45
2θ = 36.03°, 2.493 Å, rel. 43
2θ = 42.31°, 2.136 Å, rel. 29
2θ = 38.22°, 2.355 Å, rel. 24
2θ = 30.34°, 2.946 Å, rel. 22

Structure and calculated PXRD pattern of SmHoEr2Al2 (a cell relaxed with GGA-PBE; CuKα).

Cell and atoms:
Cell lengths 5.2250, 5.2250, 6.6390 Å; angles 90.00, 90.00, 120.00 degrees
Atoms (fractional coordinates):
Sm  0.0000  0.0000  0.0000
Ho  0.3333  0.6667  0.5000
Er  0.6667  0.3333  0.2536
Er  0.6667  0.3333  0.7464
Al  0.0000  0.0000  0.5000
Al  0.3333  0.6667  0.0000

Most intense lines, 2θ from 10° to 80°, in order of falling intensity:
2θ = 33.48°, 2.677 Å, rel. 100
2θ = 34.33°, 2.613 Å, rel. 86
2θ = 23.80°, 3.739 Å, rel. 45
2θ = 60.94°, 1.520 Å, rel. 36
2θ = 48.71°, 1.870 Å, rel. 35
2θ = 66.77°, 1.401 Å, rel. 25
2θ = 61.48°, 1.508 Å, rel. 16
2θ = 19.62°, 4.525 Å, rel. 15
2θ = 42.20°, 2.142 Å, rel. 10
2θ = 72.34°, 1.306 Å, rel. 10

Structure and calculated PXRD pattern of Li2ZrAlSe4 (a cell relaxed with GGA-PBE; CuKα).

Cell and atoms:
Cell lengths 5.9200, 5.9200, 11.6575 Å; angles 90.00, 90.00, 90.00 degrees
Atoms (fractional coordinates):
Li  0.0000  0.0000  0.0000
Li  0.0000  0.5000  0.2500
Li  0.5000  0.0000  0.7500
Li  0.5000  0.5000  0.5000
Zr  0.0000  0.5000  0.7500
Zr  0.5000  0.0000  0.2500
Al  0.0000  0.0000  0.5000
Al  0.5000  0.5000  0.0000
Se  0.2357  0.2400  0.3811
Se  0.2400  0.7643  0.6189
Se  0.2600  0.7357  0.1189
Se  0.2643  0.2600  0.8811
Se  0.7357  0.7400  0.8811
Se  0.7400  0.2643  0.1189
Se  0.7600  0.2357  0.6189
Se  0.7643  0.7600  0.3811

Most intense lines, 2θ from 10° to 80°, in order of falling intensity:
2θ = 26.21°, 3.400 Å, rel. 100
2θ = 43.58°, 2.077 Å, rel. 41
2θ = 51.26°, 1.782 Å, rel. 29
2θ = 16.80°, 5.278 Å, rel. 22
2θ = 43.22°, 2.093 Å, rel. 21
2θ = 51.89°, 1.762 Å, rel. 15
2θ = 79.53°, 1.205 Å, rel. 13
2θ = 69.77°, 1.348 Å, rel. 12
2θ = 30.19°, 2.960 Å, rel. 10
2θ = 34.75°, 2.582 Å, rel. 8

Structure and calculated PXRD pattern of LuHgTe3Au (a cell relaxed with GGA-PBE; CuKα).

Cell and atoms:
Cell lengths 7.9343, 7.9343, 10.8469 Å; angles 90.00, 90.00, 150.43 degrees
Atoms (fractional coordinates):
Lu  0.0000  0.0000  0.0000
Lu  0.0000  0.0000  0.5000
Hg  0.2408  0.7592  0.7500
Hg  0.7592  0.2408  0.2500
Te  0.0997  0.9003  0.2500
Te  0.3586  0.6414  0.0573
Te  0.3586  0.6414  0.4427
Te  0.6414  0.3586  0.5573
Te  0.6414  0.3586  0.9427
Te  0.9003  0.0997  0.7500
Au  0.4749  0.5251  0.2500
Au  0.5251  0.4749  0.7500

Most intense lines, 2θ from 10° to 80°, in order of falling intensity:
2θ = 32.69°, 2.740 Å, rel. 100
2θ = 29.31°, 3.047 Å, rel. 76
2θ = 33.03°, 2.712 Å, rel. 37
2θ = 40.46°, 2.229 Å, rel. 31
2θ = 44.76°, 2.025 Å, rel. 30
2θ = 50.99°, 1.791 Å, rel. 24
2θ = 37.71°, 2.386 Å, rel. 22
2θ = 56.74°, 1.622 Å, rel. 21
2θ = 33.74°, 2.656 Å, rel. 19
2θ = 11.53°, 7.672 Å, rel. 19

Structure and calculated PXRD pattern of NdHoHg6 (a cell relaxed with GGA-PBE; CuKα).

Cell and atoms:
Cell lengths 6.6426, 6.6426, 5.0224 Å; angles 90.00, 90.00, 120.00 degrees
Atoms (fractional coordinates):
Nd  0.0000  0.0000  0.0000
Ho  0.6667  0.3333  0.5000
Hg  0.1705  0.3411  0.5000
Hg  0.1705  0.8295  0.5000
Hg  0.5009  0.0018  0.0000
Hg  0.5009  0.4991  0.0000
Hg  0.6589  0.8295  0.5000
Hg  0.9982  0.4991  0.0000

Most intense lines, 2θ from 10° to 80°, in order of falling intensity:
2θ = 35.98°, 2.496 Å, rel. 100
2θ = 31.09°, 2.876 Å, rel. 24
2θ = 35.76°, 2.511 Å, rel. 23
2θ = 67.64°, 1.385 Å, rel. 22
2θ = 55.32°, 1.661 Å, rel. 20
2θ = 64.39°, 1.447 Å, rel. 19
2θ = 67.78°, 1.383 Å, rel. 16
2θ = 48.10°, 1.892 Å, rel. 15
2θ = 76.30°, 1.248 Å, rel. 4
2θ = 64.83°, 1.438 Å, rel. 3

Structure and calculated PXRD pattern of PrNd2Cu2Si4Pd2 (a cell relaxed with GGA-PBE; CuKα).

Cell and atoms:
Cell lengths 12.5827, 12.5827, 12.5827 Å; angles 161.03, 160.71, 27.18 degrees
Atoms (fractional coordinates):
Pr  0.0000  0.0000  0.0000
Nd  0.3477  0.8477  0.5000
Nd  0.6523  0.1523  0.5000
Cu  0.2495  0.2495  0.0000
Cu  0.7505  0.7505  0.0000
Si  0.1979  0.6979  0.5000
Si  0.4512  0.4512  0.0000
Si  0.5488  0.5488  0.0000
Si  0.8021  0.3021  0.5000
Pd  0.0980  0.5980  0.5000
Pd  0.9020  0.4020  0.5000

Most intense lines, 2θ from 10° to 80°, in order of falling intensity:
2θ = 33.67°, 2.662 Å, rel. 100
2θ = 33.54°, 2.672 Å, rel. 35
2θ = 39.45°, 2.284 Å, rel. 23
2θ = 42.91°, 2.108 Å, rel. 22
2θ = 43.65°, 2.073 Å, rel. 21
2θ = 23.76°, 3.745 Å, rel. 20
2θ = 28.21°, 3.163 Å, rel. 18
2θ = 55.53°, 1.655 Å, rel. 16
2θ = 62.87°, 1.478 Å, rel. 14
2θ = 69.18°, 1.358 Å, rel. 14

Structure and calculated PXRD pattern of LaAlHg2O (a cell relaxed with GGA-PBE; CuKα).

Cell and atoms:
Cell lengths 4.0064, 4.0064, 13.5561 Å; angles 90.00, 90.00, 90.00 degrees
Atoms (fractional coordinates):
La  0.0000  0.0000  0.0000
La  0.5000  0.5000  0.5000
Al  0.0000  0.0000  0.3535
Al  0.5000  0.5000  0.8535
Hg  0.0000  0.5000  0.2065
Hg  0.0000  0.5000  0.7065
Hg  0.5000  0.0000  0.2065
Hg  0.5000  0.0000  0.7065
O  0.0000  0.0000  0.4843
O  0.5000  0.5000  0.9843

Most intense lines, 2θ from 10° to 80°, in order of falling intensity:
2θ = 34.31°, 2.614 Å, rel. 100
2θ = 13.06°, 6.778 Å, rel. 54
2θ = 26.30°, 3.389 Å, rel. 37
2θ = 41.55°, 2.174 Å, rel. 27
2θ = 45.27°, 2.003 Å, rel. 26
2θ = 53.11°, 1.724 Å, rel. 22
2θ = 76.49°, 1.245 Å, rel. 20
2θ = 51.75°, 1.766 Å, rel. 18
2θ = 64.03°, 1.454 Å, rel. 14
2θ = 61.91°, 1.499 Å, rel. 13

Structure and calculated PXRD pattern of NdCo2SiGe (a cell relaxed with GGA-PBE; CuKα).

Cell and atoms:
Cell lengths 3.9805, 3.9805, 10.1340 Å; angles 90.00, 90.00, 90.00 degrees
Atoms (fractional coordinates):
Nd  0.0000  0.0000  0.0000
Nd  0.5000  0.5000  0.5000
Co  0.0000  0.5000  0.2558
Co  0.0000  0.5000  0.7558
Co  0.5000  0.0000  0.2558
Co  0.5000  0.0000  0.7558
Si  0.0000  0.0000  0.3647
Si  0.5000  0.5000  0.8647
Ge  0.0000  0.0000  0.6292
Ge  0.5000  0.5000  0.1292

Most intense lines, 2θ from 10° to 80°, in order of falling intensity:
2θ = 36.52°, 2.461 Å, rel. 100
2θ = 34.83°, 2.576 Å, rel. 83
2θ = 45.58°, 1.990 Å, rel. 51
2θ = 58.62°, 1.575 Å, rel. 36
2θ = 24.02°, 3.705 Å, rel. 26
2θ = 50.53°, 1.806 Å, rel. 23
2θ = 64.32°, 1.448 Å, rel. 21
2θ = 78.26°, 1.222 Å, rel. 20
2θ = 70.39°, 1.338 Å, rel. 17
2θ = 66.43°, 1.407 Å, rel. 16

Structure and calculated PXRD pattern of K2CoWN4 (a cell relaxed with GGA-PBE; CuKα).

Cell and atoms:
Cell lengths 5.6779, 5.6779, 8.1225 Å; angles 90.00, 90.00, 90.00 degrees
Atoms (fractional coordinates):
K  0.0000  0.0000  0.0000
K  0.0000  0.5000  0.2500
K  0.5000  0.0000  0.7500
K  0.5000  0.5000  0.5000
Co  0.0000  0.5000  0.7500
Co  0.5000  0.0000  0.2500
W  0.0000  0.0000  0.5000
W  0.5000  0.5000  0.0000
N  0.0968  0.2558  0.6288
N  0.2442  0.5968  0.8712
N  0.2558  0.9032  0.3712
N  0.4032  0.2442  0.1288
N  0.5968  0.7558  0.1288
N  0.7442  0.0968  0.3712
N  0.7558  0.4032  0.8712
N  0.9032  0.7442  0.6288

Most intense lines, 2θ from 10° to 80°, in order of falling intensity:
2θ = 31.33°, 2.855 Å, rel. 100
2θ = 19.07°, 4.654 Å, rel. 80
2θ = 31.51°, 2.839 Å, rel. 43
2θ = 56.00°, 1.642 Å, rel. 36
2θ = 55.65°, 1.652 Å, rel. 20
2θ = 37.10°, 2.424 Å, rel. 19
2θ = 74.73°, 1.270 Å, rel. 16
2θ = 45.17°, 2.007 Å, rel. 16
2θ = 22.14°, 4.015 Å, rel. 15
2θ = 49.19°, 1.852 Å, rel. 14